Structure and simulated powder diffraction line list of YS2O6 (a cell relaxed with GGA-PBE; Cu Ka).

Structural model:
a = 5.4444 Å, b = 5.4444 Å, c = 19.6778 Å
α = 90.00°, β = 90.00°, γ = 120.00°
Space group R3m (No. 160, hexagonal axes)
One atom of each set of equivalent atoms:
Y1 0.0000 0.0000 0.0000 [3 per cell]
S1 0.0000 0.0000 0.2698 [3 per cell]
S2 0.0000 0.0000 0.3966 [3 per cell]
O1 0.1787 0.3574 0.0850 [9 per cell]
O2 0.1786 0.3572 0.9150 [9 per cell]

The 10 most intense peaks (15° ≤ 2θ ≤ 90°), sorted by position:
- 4.585 Å, I = 100, hkl 1 0 1
- 4.252 Å, I = 59, hkl 0 1 2
- 3.404 Å, I = 31, hkl 1 0 4
- 3.021 Å, I = 35, hkl 0 1 5
- 2.722 Å, I = 33, hkl 1 1 0
- 2.514 Å, I = 45, hkl 1 1 3
- 2.415 Å, I = 29, hkl 1 0 7
- 2.181 Å, I = 21, hkl 0 1 8
- 2.126 Å, I = 16, hkl 0 2 4
- 2.022 Å, I = 20, hkl 2 0 5



Structure and simulated powder diffraction line list of Y2SO (a cell relaxed with GGA-PBE; Cu Ka).

Structural model:
a = 3.916 Å, b = 3.916 Å, c = 10.897 Å
α = 90.00°, β = 90.00°, γ = 90.00°
Space group P4/nmm (No. 129, origin choice 2)
One atom of each set of equivalent atoms:
Y1 0.250 0.250 0.100 [2 per cell]
Y2 0.250 0.250 0.612 [2 per cell]
S1 0.250 0.250 0.362 [2 per cell]
O1 0.250 0.750 0.000 [2 per cell]

The 10 most intense peaks (15° ≤ 2θ ≤ 90°), sorted by position:
- 5.449 Å, I = 14, hkl 0 0 2
- 3.180 Å, I = 100, hkl 1 0 2
- 2.769 Å, I = 66, hkl 1 1 0
- 2.724 Å, I = 25, hkl 0 0 4
- 2.236 Å, I = 15, hkl 1 0 4
- 1.958 Å, I = 31, hkl 2 0 0
- 1.942 Å, I = 49, hkl 1 1 4
- 1.667 Å, I = 30, hkl 2 1 2
- 1.590 Å, I = 19, hkl 2 0 4
- 1.127 Å, I = 16, hkl 3 1 4



Structure and simulated powder diffraction line list of Y2SO6 (a cell relaxed with GGA-PBE; Cu Ka).

Structural model:
a = 10.887 Å, b = 12.490 Å, c = 7.451 Å
α = 90.00°, β = 124.16°, γ = 90.00°
Space group C2/c (No. 15)
One atom of each set of equivalent atoms:
Y1 0.138 0.073 0.010 [8 per cell]
S1 0.000 0.319 0.750 [4 per cell]
O1 0.075 0.251 0.949 [8 per cell]
O2 0.111 0.035 0.710 [8 per cell]
O3 0.112 0.388 0.752 [8 per cell]

The 10 most intense peaks (15° ≤ 2θ ≤ 90°), sorted by position:
- 4.056 Å, I = 60, hkl 2 2 -1
- 3.779 Å, I = 37, hkl 1 3 0
- 3.625 Å, I = 64, hkl 1 3 -1
- 3.464 Å, I = 100, hkl 1 1 -2
- 2.920 Å, I = 53, hkl 3 1 0
- 2.695 Å, I = 72, hkl 2 4 -1
- 2.657 Å, I = 44, hkl 2 2 1
- 2.292 Å, I = 35, hkl 2 2 -3
- 2.117 Å, I = 34, hkl 4 2 0
- 1.854 Å, I = 27, hkl 5 3 -1



Structure and simulated powder diffraction line list of Yb2S2O (a cell relaxed with GGA-PBE; Cu Ka).

Structural model:
a = 7.800 Å, b = 7.166 Å, c = 7.455 Å
α = 90.00°, β = 100.49°, γ = 90.00°
Space group P2_1/c (No. 14)
One atom of each set of equivalent atoms:
Yb1 0.078 0.162 0.351 [4 per cell]
Yb2 0.388 0.509 0.245 [4 per cell]
S1 0.128 0.559 0.541 [4 per cell]
S2 0.474 0.234 0.487 [4 per cell]
O1 0.122 0.078 0.647 [4 per cell]

The 10 most intense peaks (15° ≤ 2θ ≤ 90°), sorted by position:
- 4.536 Å, I = 48, hkl 1 1 -1
- 3.277 Å, I = 73, hkl 2 1 -1
- 3.263 Å, I = 42, hkl 0 1 2
- 3.246 Å, I = 39, hkl 1 2 0
- 2.898 Å, I = 100, hkl 2 1 1
- 2.566 Å, I = 60, hkl 2 2 -1
- 2.529 Å, I = 65, hkl 1 2 -2
- 2.328 Å, I = 42, hkl 1 1 -3
- 2.145 Å, I = 45, hkl 1 3 1
- 1.746 Å, I = 50, hkl 3 3 -1



Structure and simulated powder diffraction line list of Zn2S2O11 (a cell relaxed with GGA-PBE; Cu Ka).

Structural model:
a = 7.468 Å, b = 8.908 Å, c = 9.032 Å
α = 92.39°, β = 90.53°, γ = 113.99°
Space group P-1 (No. 2)
One atom of each set of equivalent atoms:
Zn1 0.000 0.000 0.000 [1 per cell]
Zn2 0.025 0.731 0.490 [2 per cell]
Zn3 0.500 0.500 0.500 [1 per cell]
S1 0.180 0.531 0.286 [2 per cell]
S2 0.283 0.115 0.614 [2 per cell]
O1 0.023 0.360 0.317 [2 per cell]
O2 0.083 0.653 0.302 [2 per cell]
O3 0.188 0.134 0.121 [2 per cell]
O4 0.202 0.972 0.502 [2 per cell]
O5 0.217 0.081 0.766 [2 per cell]
O6 0.231 0.800 0.977 [2 per cell]
O7 0.247 0.259 0.552 [2 per cell]
O8 0.319 0.582 0.431 [2 per cell]
O9 0.365 0.503 0.867 [2 per cell]
O10 0.383 0.830 0.049 [2 per cell]
O11 0.426 0.595 0.764 [2 per cell]

The 10 most intense peaks (15° ≤ 2θ ≤ 90°), sorted by position:
- 5.895 Å, I = 93, hkl 0 1 1
- 4.510 Å, I = 65, hkl 0 0 2
- 4.030 Å, I = 46, hkl 0 1 -2
- 3.979 Å, I = 36, hkl 1 -2 1
- 3.730 Å, I = 52, hkl -1 1 2
- 3.439 Å, I = 100, hkl 2 -1 1
- 3.229 Å, I = 60, hkl 1 1 -2
- 3.148 Å, I = 41, hkl -2 2 1
- 3.081 Å, I = 38, hkl -1 2 2
- 2.886 Å, I = 56, hkl 1 2 -1



Structure and simulated powder diffraction line list of Zn2S2O7 (a cell relaxed with GGA-PBE; Cu Ka).

Structural model:
a = 5.784 Å, b = 5.808 Å, c = 9.243 Å
α = 75.23°, β = 73.14°, γ = 84.81°
Space group P-1 (No. 2)
One atom of each set of equivalent atoms:
Zn1 0.126 0.250 0.014 [2 per cell]
Zn2 0.226 0.099 0.532 [2 per cell]
S1 0.003 0.524 0.691 [2 per cell]
S2 0.480 0.961 0.810 [2 per cell]
O1 0.023 0.796 0.599 [2 per cell]
O2 0.075 0.537 0.843 [2 per cell]
O3 0.213 0.980 0.902 [2 per cell]
O4 0.220 0.397 0.604 [2 per cell]
O5 0.397 0.822 0.212 [2 per cell]
O6 0.407 0.253 0.107 [2 per cell]
O7 0.472 0.915 0.656 [2 per cell]

The 10 most intense peaks (15° ≤ 2θ ≤ 90°), sorted by position:
- 5.616 Å, I = 33, hkl 0 1 0
- 5.534 Å, I = 19, hkl 1 0 0
- 4.294 Å, I = 19, hkl 0 0 2
- 3.977 Å, I = 100, hkl 1 1 0
- 3.012 Å, I = 21, hkl 1 0 -2
- 2.932 Å, I = 36, hkl 1 -1 2
- 2.890 Å, I = 28, hkl 1 0 3
- 2.879 Å, I = 20, hkl 2 0 1
- 2.847 Å, I = 59, hkl -1 1 2
- 2.499 Å, I = 21, hkl 2 1 0



Structure and simulated powder diffraction line list of Zr3S5O (a cell relaxed with GGA-PBE; Cu Ka).

Structural model:
a = 10.886 Å, b = 8.719 Å, c = 8.382 Å
α = 90.00°, β = 109.89°, γ = 90.00°
Space group C2/m (No. 12)
One atom of each set of equivalent atoms:
Zr1 0.000 0.000 0.000 [2 per cell]
Zr2 0.000 0.000 0.500 [2 per cell]
Zr3 0.156 0.500 0.168 [4 per cell]
Zr4 0.221 0.500 0.616 [4 per cell]
S1 0.000 0.293 0.000 [4 per cell]
S2 0.020 0.500 0.347 [4 per cell]
S3 0.185 0.191 0.634 [8 per cell]
S4 0.242 0.000 0.068 [4 per cell]
O1 0.069 0.000 0.283 [4 per cell]

The 10 most intense peaks (15° ≤ 2θ ≤ 90°), sorted by position:
- 4.359 Å, I = 100, hkl 0 2 0
- 3.812 Å, I = 52, hkl 2 0 -2
- 3.177 Å, I = 31, hkl 3 1 0
- 3.102 Å, I = 47, hkl 1 1 2
- 2.843 Å, I = 20, hkl 2 2 1
- 2.440 Å, I = 27, hkl 3 1 -3
- 2.213 Å, I = 30, hkl 3 3 0
- 2.186 Å, I = 40, hkl 1 3 2
- 2.180 Å, I = 27, hkl 0 4 0
- 1.722 Å, I = 18, hkl 5 3 -2



Structure and simulated powder diffraction line list of Zr7S12O (a cell relaxed with GGA-PBE; Cu Ka).

Structural model:
a = 13.0834 Å, b = 13.0834 Å, c = 8.8679 Å
α = 90.00°, β = 90.00°, γ = 120.00°
Space group R-3 (No. 148, hexagonal axes)
One atom of each set of equivalent atoms:
Zr1 0.0000 0.0000 0.0000 [3 per cell]
Zr2 0.0504 0.1818 0.3363 [18 per cell]
S1 0.0220 0.5875 0.1633 [18 per cell]
S2 0.0491 0.1763 0.8274 [18 per cell]
O1 0.0000 0.0000 0.5000 [3 per cell]

The 10 most intense peaks (15° ≤ 2θ ≤ 90°), sorted by position:
- 4.774 Å, I = 26, hkl 0 2 1
- 3.856 Å, I = 18, hkl 3 -1 1
- 2.961 Å, I = 15, hkl 0 0 3
- 2.694 Å, I = 10, hkl 2 -1 3
- 2.564 Å, I = 100, hkl 3 1 2
- 1.813 Å, I = 66, hkl 2 5 0
- 1.481 Å, I = 16, hkl 8 -6 2
- 1.282 Å, I = 10, hkl 6 2 4
- 1.147 Å, I = 14, hkl 5 6 2
- 1.146 Å, I = 14, hkl 2 5 6



Structure and simulated powder diffraction line list of Zr4SO2 (a cell relaxed with GGA-PBE; Cu Ka).

Structural model:
a = 4.744 Å, b = 4.744 Å, c = 11.562 Å
α = 90.00°, β = 90.00°, γ = 90.00°
Space group I4/mmm (No. 139)
One atom of each set of equivalent atoms:
Zr1 0.000 0.000 0.239 [4 per cell]
Zr2 0.000 0.500 0.000 [4 per cell]
S1 0.000 0.000 0.000 [2 per cell]
O1 0.000 0.000 0.406 [4 per cell]

The 10 most intense peaks (15° ≤ 2θ ≤ 90°), sorted by position:
- 2.902 Å, I = 100, hkl 1 1 2
- 2.890 Å, I = 33, hkl 0 0 4
- 2.372 Å, I = 51, hkl 2 0 0
- 1.834 Å, I = 34, hkl 2 0 4
- 1.677 Å, I = 17, hkl 2 2 0
- 1.671 Å, I = 22, hkl 1 1 6
- 1.452 Å, I = 39, hkl 2 2 4
- 1.234 Å, I = 9, hkl 2 0 8
- 1.184 Å, I = 13, hkl 3 1 6
- 1.098 Å, I = 11, hkl 4 0 4



Structure and simulated powder diffraction line list of Zr6SO (a cell relaxed with GGA-PBE; Cu Ka).

Structural model:
a = 5.8113 Å, b = 5.8113 Å, c = 16.4614 Å
α = 90.00°, β = 90.00°, γ = 120.00°
Space group R-3 (No. 148, hexagonal axes)
One atom of each set of equivalent atoms:
Zr1 0.0024 0.3465 0.0894 [18 per cell]
S1 0.0000 0.0000 0.0000 [3 per cell]
O1 0.0000 0.0000 0.5000 [3 per cell]

The 10 most intense peaks (15° ≤ 2θ ≤ 90°), sorted by position:
- 2.906 Å, I = 16, hkl 1 1 0
- 2.744 Å, I = 21, hkl 0 0 6
- 2.568 Å, I = 100, hkl 2 -1 3
- 1.995 Å, I = 23, hkl 1 1 6
- 1.678 Å, I = 20, hkl 3 0 0
- 1.548 Å, I = 19, hkl 2 -1 9
- 1.431 Å, I = 16, hkl 3 0 6
- 1.404 Å, I = 14, hkl 2 2 3
- 1.284 Å, I = 5, hkl 4 -2 6
- 1.138 Å, I = 6, hkl 2 2 9



Structure and simulated powder diffraction line list of Zr3SO9 (a cell relaxed with GGA-PBE; Cu Ka).

Structural model:
a = 6.4378 Å, b = 6.4378 Å, c = 10.1236 Å
α = 90.00°, β = 90.00°, γ = 120.00°
Space group P-3 (No. 147)
One atom of each set of equivalent atoms:
Zr1 0.0328 0.6994 0.1418 [6 per cell]
S1 0.3333 0.6667 0.6646 [2 per cell]
O1 0.0000 0.0000 0.2076 [2 per cell]
O2 0.0022 0.6683 0.9319 [6 per cell]
O3 0.1104 0.4418 0.6331 [6 per cell]
O4 0.3333 0.6667 0.2076 [2 per cell]
O5 0.3333 0.6667 0.8183 [2 per cell]

The 10 most intense peaks (15° ≤ 2θ ≤ 90°), sorted by position:
- 3.748 Å, I = 19, hkl 0 1 2
- 3.375 Å, I = 20, hkl 0 0 3
- 3.068 Å, I = 100, hkl 2 -1 1
- 2.716 Å, I = 48, hkl 2 -1 2
- 2.531 Å, I = 22, hkl 0 0 4
- 2.329 Å, I = 17, hkl 1 1 3
- 1.990 Å, I = 22, hkl 2 -1 4
- 1.858 Å, I = 35, hkl 3 0 0
- 1.828 Å, I = 18, hkl 0 3 1
- 1.714 Å, I = 32, hkl 2 -1 5